(1)
This entry pairs a crystal structure of Ho3Mg3AlCd2 with its computed X-ray diffraction stick pattern. Radiation: Cu Kα X-rays. Structure: a structure optimized by DFT (PBE).
Kinematic intensities with the Lorentz-polarization factor, no thermal factor.

Cell and atoms:
```
data_Ho3Mg3AlCd2
_cell_length_a 7.4087
_cell_length_b 7.4087
_cell_length_c 4.5888
_cell_angle_alpha 90.00
_cell_angle_beta 90.00
_cell_angle_gamma 120.00
_space_group_name_H-M_alt 'P -6 2 m'
_space_group_IT_number 189
_space_group_name_Hall 'P -6 -2'
loop_
_atom_site_label
_atom_site_type_symbol
_atom_site_fract_x
_atom_site_fract_y
_atom_site_fract_z
Ho1 Ho 0.0000 0.4208 0.0000
Mg1 Mg 0.0000 0.7615 0.5000
Al1 Al 0.0000 0.0000 0.0000
Cd1 Cd 0.3333 0.6667 0.5000
```

Main lines, by intensity (2θ = 10–90°):
2θ 31.03, rel. 1000, (1 1 1); 2θ 34.10, rel. 774, (2 0 1); 2θ 13.80, rel. 417, (1 0 0); 2θ 37.07, rel. 264, (2 1 0); 2θ 55.38, rel. 255, (3 1 1); 2θ 39.27, rel. 230, (0 0 2); 2θ 24.02, rel. 223, (1 1 0); 2θ 51.34, rel. 216, (3 1 0); 2θ 66.49, rel. 198, (3 1 2); 2θ 55.10, rel. 166, (2 1 2); 2θ 66.75, rel. 155, (3 2 1); 2θ 42.26, rel. 138, (3 0 0)

=====

(2)
This entry pairs a crystal structure of YHo2Mg3Al2Cd with its computed X-ray diffraction stick pattern. Radiation: Cu Kα X-rays. Structure: a structure optimized by DFT (PBE).
Kinematic intensities with the Lorentz-polarization factor, no thermal factor.

Cell and atoms:
```
data_YHo2Mg3Al2Cd
_cell_length_a 4.5337
_cell_length_b 12.8192
_cell_length_c 7.3962
_cell_angle_alpha 90.00
_cell_angle_beta 90.00
_cell_angle_gamma 90.00
_space_group_name_H-M_alt 'A m m 2'
_space_group_IT_number 38
loop_
_space_group_symop_operation_xyz
'x,y,z'
'-x,-y,z'
'-x,y,z'
'x,-y,z'
'x,y+1/2,z+1/2'
'-x,-y+1/2,z+1/2'
'-x,y+1/2,z+1/2'
'x,-y+1/2,z+1/2'
loop_
_atom_site_label
_atom_site_type_symbol
_atom_site_fract_x
_atom_site_fract_y
_atom_site_fract_z
Y1 Y 0.0000 0.0000 0.0000
Ho1 Ho 0.0000 0.2142 0.3573
Mg1 Mg 0.5000 0.0000 0.3256
Mg2 Mg 0.5000 0.1230 0.6945
Al1 Al 0.5000 0.1668 0.0715
Cd1 Cd 0.0000 0.0000 0.5713
```

Main lines, by intensity (2θ = 10–90°):
2θ 34.27, rel. 1000, (1 2 2); 2θ 27.85, rel. 525, (0 2 2); 2θ 31.21, rel. 482, (1 0 2); 2θ 19.58, rel. 455, (1 0 0); 2θ 55.54, rel. 382, (1 7 1); 2θ 66.90, rel. 366, (1 7 3); 2θ 49.25, rel. 290, (2 2 2); 2θ 42.31, rel. 254, (0 3 3); 2θ 24.05, rel. 235, (0 3 1); 2θ 39.76, rel. 209, (2 0 0); 2θ 37.12, rel. 208, (0 5 1); 2θ 51.42, rel. 156, (0 7 1)